(1)
This entry pairs a crystal structure of TbNd7Y4 with its computed X-ray powder pattern. Radiation: λ = 1.5418 Å (Cu Kα). Structure: the PBE geometry in Alexandria.

Structural model:
Cell lengths 6.3581, 7.3299, 9.0409 Å; angles 90.03, 103.61, 90.00 degrees
Element x y z (fractional)
Tb (0.0000, 0.0000, 0.0000)
Nd (0.0000, 0.5000, 0.0000)
Nd (0.2210, 0.0004, 0.6663)
Nd (0.2787, 0.2493, 0.3342)
Nd (0.4992, 0.2518, 0.9995)
Nd (0.5008, 0.7482, 0.0005)
Nd (0.7213, 0.7507, 0.6658)
Nd (0.7790, 0.9996, 0.3337)
Y (0.2205, 0.5000, 0.6654)
Y (0.2785, 0.7480, 0.3326)
Y (0.7215, 0.2520, 0.6674)
Y (0.7795, 0.5000, 0.3346)

Largest 10 diffraction maxima, most intense first, 2θ = 10–90°:
two_theta  Rel. int.
31.26  100.0
32.92  88.7
30.52  48.6
59.47  43.2
28.30  43.0
49.71  37.1
53.62  21.6
56.84  18.4
39.40  17.4
59.91  15.5

=====

(2)
This entry pairs a crystal structure of Tb3Nd5Y3 with its computed X-ray powder pattern. Radiation: λ = 1.5418 Å (Cu Kα). Structure: the PBE geometry in Alexandria.

Structural model:
Cell lengths 3.6543, 11.2903, 11.2903 Å; angles 124.92, 90.00, 90.00 degrees
Element x y z (fractional)
Tb (0.0000, 0.0000, 0.0000)
Tb (0.5000, 0.2687, 0.7195)
Tb (0.5000, 0.7195, 0.2687)
Nd (0.0000, 0.0366, 0.3537)
Nd (0.0000, 0.3537, 0.0366)
Nd (0.0000, 0.6304, 0.9548)
Nd (0.0000, 0.9548, 0.6304)
Nd (0.5000, 0.7261, 0.7261)
Y (0.0000, 0.4096, 0.5787)
Y (0.0000, 0.5787, 0.4096)
Y (0.5000, 0.2692, 0.2692)

Largest 10 diffraction maxima, most intense first, 2θ = 10–90°:
two_theta  Rel. int.
31.18  100.0
34.33  54.1
28.93  46.0
31.83  40.2
30.28  35.7
32.46  22.0
55.06  18.5
60.43  18.1
55.19  15.6
55.65  15.2

=====

(3)
This entry pairs a crystal structure of Tb8NdY4 with its computed X-ray powder pattern. Radiation: λ = 1.5418 Å (Cu Kα). Structure: the PBE geometry in Alexandria.

Structural model:
Cell lengths 7.8083, 7.8083, 7.8083 Å; angles 90.00, 90.00, 90.00 degrees
Element x y z (fractional)
Tb (0.2398, 0.2398, 0.2398)
Tb (0.2398, 0.2398, 0.7602)
Tb (0.2398, 0.7602, 0.2398)
Tb (0.2398, 0.7602, 0.7602)
Tb (0.7602, 0.2398, 0.2398)
Tb (0.7602, 0.2398, 0.7602)
Tb (0.7602, 0.7602, 0.2398)
Tb (0.7602, 0.7602, 0.7602)
Nd (0.5000, 0.5000, 0.5000)
Y (0.0000, 0.0000, 0.0000)
Y (0.0000, 0.5000, 0.5000)
Y (0.5000, 0.0000, 0.5000)
Y (0.5000, 0.5000, 0.0000)

Largest 10 diffraction maxima, most intense first, 2θ = 10–90°:
two_theta  Rel. int.
32.43  100.0
57.85  36.4
22.78  21.6
46.52  17.9
77.28  14.8
67.91  10.9
52.40  8.5
40.00  6.5
25.51  6.1
16.05  4.1

=====

Question: Number 1 is which compound?
Answer: TbNd7Y4